The following is a theoretical X-ray powder pattern of ZrVO4F. It was derived from the GGA+U geometry in Alexandria, using Cu Kα (weighted mean of Kα1 and Kα2).

Principal peaks in the range 2θ from 10° to 80°, in order of rising 2θ:
index  two_theta  intensity
0 0 1  14.15  84
2 0 0  20.48  79
0 2 0  25.89  100
2 0 1  28.54  45
1 1 -2  30.04  66
3 1 -1  32.41  33
3 1 -2  37.33  28
1 1 3  49.92  44

Atomic structure:
abc: 9.1507 6.8837 6.6039
angles: 90.00 108.61 90.00
Space group C2/m (No. 12)
One atom of each set of equivalent atoms:
Zr  0.2152  0.0000  0.1035
V  0.1527  0.5000  0.2903
O  0.0429  0.5000  0.7670
O  0.2074  0.3085  0.1509
O  0.2478  0.5000  0.5576
F  0.0163  0.0000  0.8300